This entry pairs a crystal structure of Pr2In8Pd with its calculated XRD peak list. Radiation: Cu Ka. Structure: DFT lattice parameters and positions (GGA-PBE).
Neutral-atom scattering factors, no anomalous dispersion.

Largest 10 diffraction maxima, sorted by position, 2θ = 5–70°:
- 2θ 30.23, rel. 31
- 2θ 34.37, rel. 100
- 2θ 36.18, rel. 17
- 2θ 37.85, rel. 54
- 2θ 39.52, rel. 9
- 2θ 53.36, rel. 21
- 2θ 54.60, rel. 18
- 2θ 66.13, rel. 29
- 2θ 66.34, rel. 14
- 2θ 67.26, rel. 10

Cell: 4.754 4.754 12.415 Å, 90.00 90.00 90.00°
Positions (direct):
Pr: 0.000 0.000 0.191
Pr: 0.000 0.000 0.809
In: 0.000 0.500 0.000
In: 0.000 0.500 0.377
In: 0.000 0.500 0.623
In: 0.500 0.000 0.000
In: 0.500 0.000 0.377
In: 0.500 0.000 0.623
In: 0.500 0.500 0.193
In: 0.500 0.500 0.807
Pd: 0.000 0.000 0.500

This entry pairs a crystal structure of KZnCuTe2 with its calculated XRD peak list. Radiation: Cu Ka. Structure: DFT lattice parameters and positions (GGA-PBE).
Neutral-atom scattering factors, no anomalous dispersion.

Largest 10 diffraction maxima, sorted by position, 2θ = 5–70°:
- 2θ 11.74, rel. 56
- 2θ 21.47, rel. 35
- 2θ 27.28, rel. 100
- 2θ 31.70, rel. 18
- 2θ 38.00, rel. 65
- 2θ 41.97, rel. 42
- 2θ 46.89, rel. 34
- 2θ 47.19, rel. 14
- 2θ 50.78, rel. 35
- 2θ 65.87, rel. 14

Cell: 8.129 8.129 8.129 Å, 149.29 149.29 43.98°
Positions (direct):
K: 0.000 0.000 0.000
Zn: 0.750 0.250 0.500
Cu: 0.250 0.750 0.500
Te: 0.359 0.359 0.000
Te: 0.641 0.641 0.000

This entry pairs a crystal structure of Sb2C9N3Cl9 with its calculated XRD peak list. Radiation: Cu Ka. Structure: DFT lattice parameters and positions (GGA-PBE).
Neutral-atom scattering factors, no anomalous dispersion.

Largest 10 diffraction maxima, sorted by position, 2θ = 5–70°:
- 2θ 7.87, rel. 100
- 2θ 11.59, rel. 81
- 2θ 13.88, rel. 95
- 2θ 14.17, rel. 52
- 2θ 14.56, rel. 71
- 2θ 19.38, rel. 56
- 2θ 19.83, rel. 62
- 2θ 20.49, rel. 35
- 2θ 26.10, rel. 41
- 2θ 27.95, rel. 69

Cell: 11.247 8.892 14.902 Å, 90.00 92.49 90.00°
Positions (direct):
Sb: 0.000 0.170 0.000
Sb: 0.000 0.830 0.500
Sb: 0.681 0.288 0.664
Sb: 0.681 0.712 0.164
C: 0.184 0.371 0.778
C: 0.184 0.629 0.278
C: 0.190 0.338 0.699
C: 0.190 0.662 0.199
C: 0.216 0.300 0.535
C: 0.216 0.700 0.035
C: 0.430 0.086 0.916
C: 0.430 0.914 0.416
C: 0.503 0.160 0.972
C: 0.503 0.840 0.472
C: 0.525 0.280 0.044
C: 0.525 0.720 0.544
C: 0.732 0.094 0.243
C: 0.732 0.906 0.743
C: 0.784 0.172 0.301
C: 0.784 0.828 0.801
C: 0.919 0.339 0.394
C: 0.919 0.661 0.894
N: 0.201 0.313 0.613
N: 0.201 0.687 0.113
N: 0.612 0.209 0.011
N: 0.612 0.791 0.511
N: 0.855 0.260 0.349
N: 0.855 0.740 0.849
Cl: 0.120 0.028 0.906
Cl: 0.120 0.972 0.406
Cl: 0.166 0.196 0.101
Cl: 0.166 0.804 0.601
Cl: 0.181 0.430 0.880
Cl: 0.181 0.570 0.380
Cl: 0.565 0.079 0.720
Cl: 0.565 0.921 0.220
Cl: 0.571 0.317 0.527
Cl: 0.571 0.683 0.027
Cl: 0.586 0.474 0.747
Cl: 0.586 0.526 0.247
Cl: 0.881 0.241 0.871
Cl: 0.881 0.759 0.371
Cl: 0.892 0.024 0.561
Cl: 0.892 0.976 0.061
Cl: 0.915 0.377 0.075
Cl: 0.915 0.623 0.575

This entry pairs a crystal structure of P2Pt with its calculated XRD peak list. Radiation: Cu Ka. Structure: DFT lattice parameters and positions (GGA-PBE).
Neutral-atom scattering factors, no anomalous dispersion.

Largest 10 diffraction maxima, sorted by position, 2θ = 5–70°:
- 2θ 26.83, rel. 100
- 2θ 31.08, rel. 81
- 2θ 34.86, rel. 4
- 2θ 38.31, rel. 4
- 2θ 44.53, rel. 56
- 2θ 52.76, rel. 79
- 2θ 55.30, rel. 19
- 2θ 57.76, rel. 2
- 2θ 60.16, rel. 2
- 2θ 64.80, rel. 5

Cell: 5.755 5.755 5.755 Å, 90.00 90.00 90.00°
Positions (direct):
P: 0.110 0.110 0.110
P: 0.110 0.390 0.610
P: 0.390 0.610 0.110
P: 0.390 0.890 0.610
P: 0.610 0.110 0.390
P: 0.610 0.390 0.890
P: 0.890 0.610 0.390
P: 0.890 0.890 0.890
Pt: 0.000 0.000 0.500
Pt: 0.000 0.500 0.000
Pt: 0.500 0.000 0.000
Pt: 0.500 0.500 0.500

This entry pairs a crystal structure of MgPaAu2 with its calculated XRD peak list. Radiation: Cu Ka. Structure: DFT lattice parameters and positions (GGA-PBE).
Neutral-atom scattering factors, no anomalous dispersion.

Largest 10 diffraction maxima, sorted by position, 2θ = 5–70°:
- 2θ 22.02, rel. 22
- 2θ 25.48, rel. 6
- 2θ 36.34, rel. 100
- 2θ 42.89, rel. 12
- 2θ 44.90, rel. 2
- 2θ 52.33, rel. 18
- 2θ 57.44, rel. 5
- 2θ 59.08, rel. 2
- 2θ 65.38, rel. 37
- 2θ 69.90, rel. 4

Cell: 4.945 4.945 4.945 Å, 60.00 60.00 60.00°
Positions (direct):
Mg: 0.000 0.000 0.000
Pa: 0.500 0.500 0.500
Au: 0.250 0.250 0.250
Au: 0.750 0.750 0.750

This entry pairs a crystal structure of CsAuO3 with its calculated XRD peak list. Radiation: Cu Ka. Structure: DFT lattice parameters and positions (GGA-PBE).
Neutral-atom scattering factors, no anomalous dispersion.

Largest 8 diffraction maxima, sorted by position, 2θ = 5–70°:
- 2θ 20.70, rel. 8
- 2θ 29.45, rel. 100
- 2θ 42.13, rel. 28
- 2θ 47.38, rel. 4
- 2θ 52.23, rel. 42
- 2θ 61.10, rel. 18
- 2θ 65.25, rel. 2
- 2θ 69.26, rel. 18

Cell: 4.290 4.290 4.290 Å, 90.00 90.00 90.00°
Positions (direct):
Cs: 0.000 0.000 0.000
Au: 0.500 0.500 0.500
O: 0.000 0.500 0.500
O: 0.500 0.000 0.500
O: 0.500 0.500 0.000

This entry pairs a crystal structure of NbTlO14 with its calculated XRD peak list. Radiation: Cu Ka. Structure: DFT lattice parameters and positions (GGA-PBE).
Neutral-atom scattering factors, no anomalous dispersion.

Largest 10 diffraction maxima, sorted by position, 2θ = 5–70°:
- 2θ 23.09, rel. 100
- 2θ 27.15, rel. 10
- 2θ 32.89, rel. 11
- 2θ 35.93, rel. 12
- 2θ 40.57, rel. 66
- 2θ 47.19, rel. 17
- 2θ 49.50, rel. 9
- 2θ 53.17, rel. 28
- 2θ 58.72, rel. 10
- 2θ 63.95, rel. 24

Cell: 7.703 7.703 7.703 Å, 60.00 60.00 60.00°
Positions (direct):
Nb: 0.125 0.125 0.125
Nb: 0.875 0.875 0.875
Tl: 0.375 0.375 0.375
Tl: 0.625 0.625 0.625
O: 0.000 0.500 0.500
O: 0.149 0.149 0.385
O: 0.149 0.149 0.817
O: 0.149 0.385 0.149
O: 0.149 0.385 0.817
O: 0.149 0.817 0.149
O: 0.149 0.817 0.385
O: 0.183 0.615 0.851
O: 0.183 0.851 0.615
O: 0.183 0.851 0.851
O: 0.385 0.149 0.149
O: 0.385 0.149 0.817
O: 0.385 0.817 0.149
O: 0.500 0.000 0.500
O: 0.500 0.500 0.000
O: 0.500 0.500 0.500
O: 0.615 0.183 0.851
O: 0.615 0.851 0.183
O: 0.615 0.851 0.851
O: 0.817 0.149 0.149
O: 0.817 0.149 0.385
O: 0.817 0.385 0.149
O: 0.851 0.183 0.615
O: 0.851 0.183 0.851
O: 0.851 0.615 0.183
O: 0.851 0.615 0.851
O: 0.851 0.851 0.183
O: 0.851 0.851 0.615

This entry pairs a crystal structure of Ge3Pb5O11 with its calculated XRD peak list. Radiation: Cu Ka. Structure: DFT lattice parameters and positions (GGA-PBE).
Neutral-atom scattering factors, no anomalous dispersion.

Largest 10 diffraction maxima, sorted by position, 2θ = 5–70°:
- 2θ 19.69, rel. 27
- 2θ 26.15, rel. 41
- 2θ 26.53, rel. 23
- 2θ 27.43, rel. 40
- 2θ 29.73, rel. 75
- 2θ 30.06, rel. 100
- 2θ 30.98, rel. 39
- 2θ 42.79, rel. 37
- 2θ 47.52, rel. 29
- 2θ 59.60, rel. 27

Cell: 10.410 10.410 10.864 Å, 90.00 90.00 120.00°
Positions (direct):
Ge: 0.007 0.618 0.000
Ge: 0.382 0.389 0.000
Ge: 0.391 0.015 0.348
Ge: 0.391 0.015 0.652
Ge: 0.611 0.993 0.000
Ge: 0.624 0.609 0.348
Ge: 0.624 0.609 0.652
Ge: 0.985 0.376 0.348
Ge: 0.985 0.376 0.652
Pb: 0.004 0.260 0.000
Pb: 0.256 0.996 0.000
Pb: 0.266 0.265 0.316
Pb: 0.266 0.265 0.684
Pb: 0.333 0.667 0.176
Pb: 0.333 0.667 0.500
Pb: 0.333 0.667 0.824
Pb: 0.667 0.333 0.161
Pb: 0.667 0.333 0.500
Pb: 0.667 0.333 0.839
Pb: 0.735 0.001 0.316
Pb: 0.735 0.001 0.684
Pb: 0.740 0.744 0.000
Pb: 0.999 0.734 0.316
Pb: 0.999 0.734 0.684
O: 0.085 0.744 0.125
O: 0.085 0.744 0.875
O: 0.089 0.503 0.000
O: 0.178 0.487 0.336
O: 0.178 0.487 0.664
O: 0.256 0.341 0.125
O: 0.256 0.341 0.875
O: 0.309 0.822 0.336
O: 0.309 0.822 0.664
O: 0.319 0.087 0.238
O: 0.319 0.087 0.762
O: 0.355 0.069 0.500
O: 0.415 0.911 0.000
O: 0.481 0.291 0.000
O: 0.497 0.585 0.000
O: 0.513 0.691 0.336
O: 0.513 0.691 0.664
O: 0.522 0.410 0.338
O: 0.522 0.410 0.662
O: 0.590 0.111 0.338
O: 0.590 0.111 0.662
O: 0.659 0.915 0.125
O: 0.659 0.915 0.875
O: 0.709 0.190 0.000
O: 0.714 0.645 0.500
O: 0.769 0.681 0.238
O: 0.769 0.681 0.762
O: 0.810 0.519 0.000
O: 0.889 0.478 0.338
O: 0.889 0.478 0.662
O: 0.913 0.231 0.238
O: 0.913 0.231 0.762
O: 0.931 0.286 0.500

Copy entry 4 word for word.
This entry pairs a crystal structure of P2Pt with its calculated XRD peak list. Radiation: Cu Ka. Structure: DFT lattice parameters and positions (GGA-PBE).
Neutral-atom scattering factors, no anomalous dispersion.

Largest 10 diffraction maxima, sorted by position, 2θ = 5–70°:
- 2θ 26.83, rel. 100
- 2θ 31.08, rel. 81
- 2θ 34.86, rel. 4
- 2θ 38.31, rel. 4
- 2θ 44.53, rel. 56
- 2θ 52.76, rel. 79
- 2θ 55.30, rel. 19
- 2θ 57.76, rel. 2
- 2θ 60.16, rel. 2
- 2θ 64.80, rel. 5

Cell: 5.755 5.755 5.755 Å, 90.00 90.00 90.00°
Positions (direct):
P: 0.110 0.110 0.110
P: 0.110 0.390 0.610
P: 0.390 0.610 0.110
P: 0.390 0.890 0.610
P: 0.610 0.110 0.390
P: 0.610 0.390 0.890
P: 0.890 0.610 0.390
P: 0.890 0.890 0.890
Pt: 0.000 0.000 0.500
Pt: 0.000 0.500 0.000
Pt: 0.500 0.000 0.000
Pt: 0.500 0.500 0.500